1.
Theoretical X-ray powder pattern
Compound: Sm4TcPd
Radiation: CuKα
Structure: a structure optimized by DFT (GGA-PBE)
Kinematic intensities with the Lorentz-polarization factor, no thermal factor.

Principal peaks in the range 2θ from 15° to 90°, in order of rising 2θ:
| h k l | d/Å | two_theta | intensity |
| --- | --- | --- | --- |
| 2 -1 0 | 3.074 | 29.04 | 40 |
| 1 2 -1 | 2.973 | 30.06 | 49 |
| 1 2 -2 | 2.957 | 30.22 | 52 |
| -1 1 2 | 2.823 | 31.69 | 100 |
| 2 -2 0 | 2.713 | 33.01 | 37 |
| 2 -2 1 | 2.509 | 35.79 | 57 |
| 1 -3 0 | 2.378 | 37.83 | 36 |
| 1 -3 2 | 2.368 | 38.00 | 35 |

```
Sm4TcPd
1.0
6.4900 0.0000 0.0000
-1.4649 7.6669 0.0000
-2.4696 -3.7688 6.6108
Sm Tc Pd
8 2 2
Direct
0.0122 0.2314 0.3653
0.2016 0.2954 0.8474
0.3566 0.6362 0.3674
0.3573 0.9509 0.1537
0.6427 0.0491 0.8463
0.6434 0.3638 0.6326
0.7984 0.7046 0.1526
0.9878 0.7686 0.6347
0.2528 0.0030 0.5062
0.7472 0.9970 0.4938
0.3838 0.6336 0.7691
0.6162 0.3664 0.2309
```

2.
Theoretical X-ray powder pattern
Compound: CsCuBi2Br8
Radiation: CuKα
Structure: a structure optimized by DFT (GGA-PBE)
Kinematic intensities with the Lorentz-polarization factor, no thermal factor.

Principal peaks in the range 2θ from 15° to 90°, in order of rising 2θ:
| h k l | d/Å | two_theta | intensity |
| --- | --- | --- | --- |
| 1 0 2 | 4.319 | 20.56 | 45 |
| 0 2 1 | 4.182 | 21.25 | 62 |
| 0 2 -1 | 3.436 | 25.93 | 38 |
| -1 2 1 | 3.403 | 26.18 | 75 |
| 2 0 2 | 3.350 | 26.61 | 100 |
| 1 2 -1 | 2.901 | 30.83 | 54 |
| 3 0 2 | 2.468 | 36.40 | 28 |
| 3 2 1 | 2.197 | 41.08 | 28 |

```
CsCuBi2Br8
1.0
7.6086 0.0000 0.0000
0.4443 8.6729 0.0000
3.2535 2.0612 8.3275
Cs Cu Bi Br
1 1 2 8
Direct
0.0000 0.0000 0.0000
0.0000 0.5000 0.0000
0.0247 0.2596 0.4744
0.9753 0.7404 0.5256
0.1763 0.6797 0.7809
0.2106 0.5763 0.2950
0.2193 0.0075 0.3040
0.2908 0.2169 0.6100
0.7092 0.7831 0.3900
0.7807 0.9925 0.6960
0.7894 0.4237 0.7050
0.8237 0.3203 0.2191
```